No. 1
Diffraction record for Pm12SnPd5. The XRD peak list is computed, not measured: it uses a crystal structure in Alexandria, relaxed with PBE and Cu Kα (λ = 1.5418 Å).
Kinematic intensities with the Lorentz-polarization factor, no thermal factor.

Main lines, in order of rising 2θ (15° ≤ 2θ ≤ 90°):
29.04°, rel. 24
30.75°, rel. 100
32.65°, rel. 78
33.07°, rel. 89
33.71°, rel. 57
34.11°, rel. 33
37.10°, rel. 36
51.12°, rel. 24
55.06°, rel. 26
57.70°, rel. 42

Crystal structure
Unit cell a=8.746 b=8.746 c=8.746 alpha=112.70 beta=110.23 gamma=105.56
Atoms (fractional coordinates):
Pm 0.035 0.224 0.811
Pm 0.180 0.288 0.468
Pm 0.180 0.712 0.892
Pm 0.325 0.024 0.699
Pm 0.325 0.627 0.301
Pm 0.412 0.224 0.189
Pm 0.588 0.776 0.811
Pm 0.675 0.373 0.699
Pm 0.675 0.976 0.301
Pm 0.820 0.288 0.108
Pm 0.820 0.712 0.532
Pm 0.965 0.776 0.189
Sn 0.500 0.500 0.000
Pd 0.000 0.000 0.000
Pd 0.131 0.631 0.500
Pd 0.353 0.000 0.353
Pd 0.647 0.000 0.647
Pd 0.869 0.369 0.500

=====

No. 2
Diffraction record for Pm3Sn6Pd5. The XRD peak list is computed, not measured: it uses a crystal structure in Alexandria, relaxed with PBE and Cu Kα (λ = 1.5418 Å).
Kinematic intensities with the Lorentz-polarization factor, no thermal factor.

Main lines, in order of rising 2θ (15° ≤ 2θ ≤ 90°):
31.65°, rel. 22
33.12°, rel. 100
33.23°, rel. 25
33.33°, rel. 31
34.04°, rel. 28
35.89°, rel. 40
39.50°, rel. 33
39.86°, rel. 51
41.72°, rel. 23
63.77°, rel. 18

Crystal structure
Unit cell a=4.523 b=13.690 c=10.026 alpha=90.00 beta=90.00 gamma=90.00
Atoms (fractional coordinates):
Pm 0.250 0.046 0.249
Pm 0.250 0.454 0.249
Pm 0.250 0.750 0.248
Pm 0.750 0.250 0.752
Pm 0.750 0.546 0.751
Pm 0.750 0.954 0.751
Sn 0.250 0.077 0.896
Sn 0.250 0.250 0.089
Sn 0.250 0.250 0.451
Sn 0.250 0.423 0.896
Sn 0.250 0.593 0.527
Sn 0.250 0.907 0.527
Sn 0.750 0.093 0.473
Sn 0.750 0.407 0.473
Sn 0.750 0.577 0.104
Sn 0.750 0.750 0.549
Sn 0.750 0.750 0.911
Sn 0.750 0.923 0.104
Pd 0.250 0.101 0.629
Pd 0.250 0.399 0.629
Pd 0.250 0.628 0.968
Pd 0.250 0.750 0.720
Pd 0.250 0.872 0.968
Pd 0.750 0.128 0.032
Pd 0.750 0.250 0.280
Pd 0.750 0.372 0.032
Pd 0.750 0.601 0.371
Pd 0.750 0.899 0.371

=====

No. 3
Diffraction record for Pm3Sn2Pd9. The XRD peak list is computed, not measured: it uses a crystal structure in Alexandria, relaxed with PBE and Cu Kα (λ = 1.5418 Å).
Kinematic intensities with the Lorentz-polarization factor, no thermal factor.

Main lines, in order of rising 2θ (15° ≤ 2θ ≤ 90°):
33.20°, rel. 31
35.11°, rel. 100
36.16°, rel. 48
37.34°, rel. 37
40.25°, rel. 21
40.85°, rel. 17
42.59°, rel. 17
46.59°, rel. 31
65.70°, rel. 18
75.46°, rel. 20

Crystal structure
Unit cell a=8.706 b=8.706 c=8.706 alpha=154.12 beta=99.80 gamma=85.99
Atoms (fractional coordinates):
Pm 0.000 0.000 0.000
Pm 0.292 0.292 0.000
Pm 0.708 0.708 0.000
Sn 0.313 0.500 0.813
Sn 0.687 0.500 0.187
Pd 0.014 0.635 0.379
Pd 0.137 0.839 0.298
Pd 0.256 0.635 0.621
Pd 0.459 0.161 0.298
Pd 0.500 0.000 0.500
Pd 0.541 0.839 0.702
Pd 0.744 0.365 0.379
Pd 0.863 0.161 0.702
Pd 0.986 0.365 0.621